V2O3: theoretical powder X-ray diffraction pattern (Cu Kα (weighted mean of Kα1 and Kα2)), based on a DFT-relaxed cell (GGA+U, the Materials Project).

The 12 most intense peaks (10° ≤ 2θ ≤ 90°), sorted by position:
d = 4.669 Å, 2θ 19.01, I = 1000
d = 4.597 Å, 2θ 19.31, I = 506
d = 3.529 Å, 2θ 25.24, I = 115
d = 3.510 Å, 2θ 25.38, I = 210
d = 3.109 Å, 2θ 28.72, I = 925
d = 3.083 Å, 2θ 28.96, I = 417
d = 2.200 Å, 2θ 41.03, I = 289
d = 2.176 Å, 2θ 41.49, I = 136
d = 2.143 Å, 2θ 42.16, I = 179
d = 1.791 Å, 2θ 50.98, I = 114
d = 1.556 Å, 2θ 59.38, I = 119
d = 1.541 Å, 2θ 60.02, I = 106

```
10
Lattice="5.323 -3.113 0.000 5.323 3.113 0.000 -3.629 0.000 6.215" Properties=species:S:1:pos:R:3 pbc="T T T"
V 3.572 1.564 0.274
V 3.508 1.584 3.107
V 1.757 -1.564 3.381
V 5.323 -1.584 0.000
O 2.472 0.128 3.248
O 4.286 -0.128 0.141
O 5.341 1.247 3.257
O 7.155 -1.247 0.149
O 8.339 0.194 3.232
O 10.153 -0.194 0.125
```